[1]
Theoretical X-ray diffraction stick pattern of In2Si2Pb2O9 for Cu Kα (weighted mean of Kα1 and Kα2), from a PBE-relaxed structure.
Lines closer than 0.1° are merged.

Crystal structure
```
data_In2Si2Pb2O9
_chemical_formula_sum 'In8 Si8 Pb8 O36'
_space_group_name_H-M_alt 'P 1'
_space_group_IT_number 1
_space_group_name_Hall 'P 1'
_cell_length_a 10.722
_cell_length_b 11.615
_cell_length_c 7.126
_cell_angle_alpha 90.00
_cell_angle_beta 90.00
_cell_angle_gamma 90.00
loop_
_atom_site_label
_atom_site_fract_x
_atom_site_fract_y
_atom_site_fract_z
In1 0.001 0.249 0.000
In2 0.249 0.911 0.522
In3 0.251 0.411 0.022
In4 0.499 0.749 0.500
In5 0.501 0.251 0.000
In6 0.749 0.589 0.522
In7 0.751 0.089 0.022
In8 0.999 0.751 0.500
Si1 0.244 0.669 0.213
Si2 0.250 0.159 0.282
Si3 0.250 0.659 0.782
Si4 0.256 0.169 0.713
Si5 0.744 0.831 0.213
Si6 0.750 0.341 0.282
Si7 0.750 0.841 0.782
Si8 0.756 0.331 0.713
Pb1 0.043 0.935 0.057
Pb2 0.058 0.455 0.544
Pb3 0.442 0.955 0.044
Pb4 0.457 0.435 0.557
Pb5 0.543 0.565 0.057
Pb6 0.558 0.045 0.544
Pb7 0.942 0.545 0.044
Pb8 0.957 0.065 0.557
O1 0.066 0.903 0.629
O2 0.070 0.412 0.900
O3 0.105 0.161 0.764
O4 0.114 0.633 0.681
O5 0.170 0.258 0.171
O6 0.171 0.770 0.332
O7 0.174 0.037 0.309
O8 0.179 0.541 0.228
O9 0.225 0.714 0.993
O10 0.275 0.214 0.493
O11 0.321 0.041 0.728
O12 0.326 0.537 0.809
O13 0.329 0.270 0.832
O14 0.330 0.758 0.671
O15 0.386 0.133 0.181
O16 0.395 0.661 0.264
O17 0.430 0.912 0.400
O18 0.434 0.403 0.129
O19 0.566 0.597 0.629
O20 0.570 0.088 0.900
O21 0.605 0.339 0.764
O22 0.614 0.867 0.681
O23 0.670 0.242 0.171
O24 0.671 0.730 0.332
O25 0.674 0.463 0.309
O26 0.679 0.959 0.228
O27 0.725 0.786 0.993
O28 0.775 0.286 0.493
O29 0.821 0.459 0.728
O30 0.826 0.963 0.809
O31 0.829 0.230 0.832
O32 0.830 0.742 0.671
O33 0.886 0.367 0.181
O34 0.895 0.839 0.264
O35 0.930 0.588 0.400
O36 0.934 0.097 0.129
```

Top 12 peaks for 15 to 90 degrees two-theta, low angle first:
| 2θ (°) | I/Imax | index |
| --- | --- | --- |
| 15.26 | 22 | 0 2 0 |
| 16.54 | 25 | 2 0 0 |
| 24.99 | 50 | 0 0 2 |
| 26.20 | 32 | 0 3 1 |
| 28.99 | 81 | 3 1 1 |
| 29.39 | 24 | 0 2 2 |
| 30.11 | 31 | 2 0 2 |
| 30.59 | 25 | 1 2 2 |
| 31.14 | 100 | 2 3 1 |
| 44.80 | 17 | 0 3 3 |
| 46.57 | 22 | 3 1 3 |
| 48.03 | 32 | 2 3 3 |

[2]
Theoretical X-ray diffraction stick pattern of ZrTi3 for Cu Kα (weighted mean of Kα1 and Kα2), from a PBE-relaxed structure.
Lines closer than 0.1° are merged.

Crystal structure
```
data_ZrTi3
_chemical_formula_sum 'Zr2 Ti6'
_space_group_name_H-M_alt 'P 1'
_space_group_IT_number 1
_space_group_name_Hall 'P 1'
_cell_length_a 6.067
_cell_length_b 6.067
_cell_length_c 4.763
_cell_angle_alpha 90.00
_cell_angle_beta 90.00
_cell_angle_gamma 120.00
loop_
_atom_site_label
_atom_site_fract_x
_atom_site_fract_y
_atom_site_fract_z
Zr1 0.333 0.667 0.250
Zr2 0.667 0.333 0.750
Ti1 0.160 0.321 0.750
Ti2 0.160 0.840 0.750
Ti3 0.321 0.160 0.250
Ti4 0.679 0.840 0.750
Ti5 0.840 0.160 0.250
Ti6 0.840 0.679 0.250
```

Top 12 peaks for 15 to 90 degrees two-theta, low angle first:
| 2θ (°) | I/Imax | index |
| --- | --- | --- |
| 25.24 | 15 | 1 0 1 |
| 29.45 | 6 | 1 1 0 |
| 34.13 | 25 | 2 0 0 |
| 37.77 | 25 | 0 0 2 |
| 39.16 | 100 | 2 0 1 |
| 48.60 | 3 | 1 1 2 |
| 51.82 | 14 | 2 0 2 |
| 61.10 | 16 | 2 2 0 |
| 69.13 | 17 | 2 0 3 |
| 74.12 | 18 | 2 2 2 |
| 75.01 | 13 | 4 0 1 |
| 84.18 | 3 | 4 0 2 |